The following is a theoretical X-ray diffraction stick pattern of ErPbAu. It was derived from DFT lattice parameters and positions (GGA-PBE), using copper Kα.
Neutral-atom scattering factors, no anomalous dispersion.

Cell and atoms:
a b c (Å): 6.8164 6.8164 6.8164
angles (deg): 90.00 90.00 90.00
Space group F-43m (No. 216)
Inequivalent atoms, fractional coordinates:
Er  0.0000  0.0000  0.0000 x4
Pb  0.0000  0.0000  0.5000 x4
Au  0.2500  0.2500  0.2500 x4

The 9 most intense peaks (2θ = 5–70°), in order of falling intensity:
hkl 2 2 0, 37.31°, I = 100
hkl 4 2 2, 67.29°, I = 37
hkl 1 1 1, 22.59°, I = 30
hkl 4 0 0, 53.79°, I = 18
hkl 3 1 1, 44.06°, I = 16
hkl 2 0 0, 26.15°, I = 11
hkl 3 3 1, 59.07°, I = 7
hkl 4 2 0, 60.77°, I = 5
hkl 2 2 2, 46.13°, I = 3



The following is a theoretical X-ray diffraction stick pattern of Er2PdAu. It was derived from DFT lattice parameters and positions (GGA-PBE), using copper Kα.
Neutral-atom scattering factors, no anomalous dispersion.

Cell and atoms:
a b c (Å): 7.0565 7.0565 7.0565
angles (deg): 90.00 90.00 90.00
Space group Fm-3m (No. 225)
Inequivalent atoms, fractional coordinates:
Er  0.2500  0.2500  0.2500 x8
Pd  0.0000  0.0000  0.0000 x4
Au  0.0000  0.0000  0.5000 x4

The 7 most intense peaks (2θ = 5–70°), in order of falling intensity:
hkl 2 2 0, 36.00°, I = 100
hkl 4 2 2, 64.72°, I = 36
hkl 4 0 0, 51.83°, I = 18
hkl 1 1 1, 21.82°, I = 4
hkl 3 1 1, 42.49°, I = 3
hkl 3 3 1, 56.88°, I = 1
hkl 5 1 1, 69.18°, I = 1



The following is a theoretical X-ray diffraction stick pattern of Er2PtAu. It was derived from DFT lattice parameters and positions (GGA-PBE), using copper Kα.
Neutral-atom scattering factors, no anomalous dispersion.

Cell and atoms:
a b c (Å): 4.6340 5.5814 6.9622
angles (deg): 90.00 90.00 90.00
Space group Pmc2_1 (No. 26)
Inequivalent atoms, fractional coordinates:
Er  0.0000  0.1034  0.0000 x2
Er  0.5000  0.3793  0.6378 x2
Pt  0.5000  0.1001  0.2753 x2
Au  0.0000  0.4035  0.3605 x2

The 10 most intense peaks (2θ = 5–70°), in order of falling intensity:
hkl 1 1 2, 36.06°, I = 100
hkl 1 2 1, 39.87°, I = 96
hkl 1 0 2, 32.15°, I = 78
hkl 2 0 0, 38.87°, I = 56
hkl 0 2 1, 34.63°, I = 45
hkl 2 2 1, 53.03°, I = 27
hkl 2 1 4, 69.63°, I = 23
hkl 0 1 3, 42.17°, I = 22
hkl 0 1 4, 55.28°, I = 22
hkl 1 1 1, 28.12°, I = 18



The following is a theoretical X-ray diffraction stick pattern of Er2RuAu. It was derived from DFT lattice parameters and positions (GGA-PBE), using copper Kα.
Neutral-atom scattering factors, no anomalous dispersion.

Cell and atoms:
a b c (Å): 6.9472 6.9472 6.9472
angles (deg): 90.00 90.00 90.00
Space group Fm-3m (No. 225)
Inequivalent atoms, fractional coordinates:
Er  0.2500  0.2500  0.2500 x8
Ru  0.0000  0.0000  0.0000 x4
Au  0.0000  0.0000  0.5000 x4

The 6 most intense peaks (2θ = 5–70°), in order of falling intensity:
hkl 2 2 0, 36.58°, I = 100
hkl 4 2 2, 65.86°, I = 36
hkl 4 0 0, 52.70°, I = 18
hkl 1 1 1, 22.16°, I = 5
hkl 3 1 1, 43.19°, I = 3
hkl 3 3 1, 57.85°, I = 1



The following is a theoretical X-ray diffraction stick pattern of Er3Sb4Au3. It was derived from DFT lattice parameters and positions (GGA-PBE), using copper Kα.
Neutral-atom scattering factors, no anomalous dispersion.

Cell and atoms:
a b c (Å): 9.9089 9.9089 9.9089
angles (deg): 90.00 90.00 90.00
Space group I-43d (No. 220)
Inequivalent atoms, fractional coordinates:
Er  0.0000  0.2500  0.8750 x12
Sb  0.0878  0.4122  0.5878 x16
Au  0.0000  0.2500  0.3750 x12

The 10 most intense peaks (2θ = 5–70°), in order of falling intensity:
hkl 3 2 1, 33.85°, I = 100
hkl 4 2 0, 40.72°, I = 50
hkl 2 1 1, 21.97°, I = 22
hkl 5 2 1, 50.44°, I = 16
hkl 4 2 2, 44.81°, I = 14
hkl 5 5 2, 69.74°, I = 13
hkl 4 4 4, 65.23°, I = 12
hkl 2 2 0, 25.42°, I = 11
hkl 6 4 0, 68.25°, I = 11
hkl 6 2 0, 58.95°, I = 11



The following is a theoretical X-ray diffraction stick pattern of Er5SbAu2. It was derived from DFT lattice parameters and positions (GGA-PBE), using copper Kα.
Neutral-atom scattering factors, no anomalous dispersion.

Cell and atoms:
a b c (Å): 8.0467 8.0467 12.9342
angles (deg): 90.00 90.00 90.00
Space group I4/mcm (No. 140)
Inequivalent atoms, fractional coordinates:
Er  0.0000  0.0000  0.0000 x4
Er  0.1566  0.3434  0.1433 x16
Sb  0.0000  0.0000  0.2500 x4
Au  0.1363  0.3637  0.5000 x8

The 10 most intense peaks (2θ = 5–70°), in order of falling intensity:
hkl 2 1 3, 32.41°, I = 100
hkl 3 1 0, 35.27°, I = 52
hkl 5 2 3, 66.19°, I = 18
hkl 2 0 4, 35.62°, I = 14
hkl 0 0 2, 13.69°, I = 13
hkl 2 1 5, 43.06°, I = 13
hkl 3 1 6, 55.91°, I = 11
hkl 4 4 0, 65.60°, I = 11
hkl 3 1 8, 68.80°, I = 11
hkl 4 1 3, 51.39°, I = 9